The following is a computed X-ray diffraction stick pattern of BaCu2PtS. It was derived from a cell relaxed with GGA-PBE, using Cu Kα, 1.54184 Å.
Neutral-atom scattering factors, no anomalous dispersion.

```
data_BaCu2PtS
_space_group_name_H-M_alt 'P 4/m m m'
_space_group_IT_number 123
_space_group_name_Hall '-P 4 2'
_cell_length_a 4.5002
_cell_length_b 4.5002
_cell_length_c 5.3138
_cell_angle_alpha 90.00
_cell_angle_beta 90.00
_cell_angle_gamma 90.00
loop_
_atom_site_label
_atom_site_fract_x
_atom_site_fract_y
_atom_site_fract_z
Ba1 0.0000 0.0000 0.0000
Cu1 0.0000 0.5000 0.5000
Pt1 0.5000 0.5000 0.0000
S1 0.5000 0.5000 0.5000
```

Top 8 peaks for 2θ = 15–90°, in order of rising 2θ:
- 28.04 deg, intensity 19, (1 1 0)
- 32.81 deg, intensity 100, (1 1 1)
- 33.73 deg, intensity 31, (0 0 2)
- 40.07 deg, intensity 38, (2 0 0)
- 53.36 deg, intensity 33, (2 0 2)
- 59.75 deg, intensity 18, (1 1 3)
- 68.22 deg, intensity 24, (3 1 1)
- 68.77 deg, intensity 15, (2 2 2)

The following is a computed X-ray diffraction stick pattern of Sr3Si2Pd6. It was derived from a cell relaxed with GGA-PBE, using Cu Kα, 1.54184 Å.
Neutral-atom scattering factors, no anomalous dispersion.

```
data_Sr3Si2Pd6
_space_group_name_H-M_alt 'I m -3 m'
_space_group_IT_number 229
_space_group_name_Hall '-I 4 2 3'
_cell_length_a 9.6948
_cell_length_b 9.6948
_cell_length_c 9.6948
_cell_angle_alpha 90.00
_cell_angle_beta 90.00
_cell_angle_gamma 90.00
loop_
_atom_site_label
_atom_site_fract_x
_atom_site_fract_y
_atom_site_fract_z
Sr1 0.0000 0.0000 0.2978
Si1 0.2500 0.2500 0.2500
Pd1 0.0000 0.3140 0.3140
```

Top 8 peaks for 2θ = 15–90°, in order of rising 2θ:
- 26.00 deg, intensity 17, (2 2 0)
- 29.13 deg, intensity 20, (3 1 0)
- 34.62 deg, intensity 31, (3 2 1)
- 37.09 deg, intensity 19, (4 0 0)
- 39.43 deg, intensity 100, (3 3 0)
- 58.71 deg, intensity 16, (5 3 2)
- 71.51 deg, intensity 23, (6 3 3)
- 74.54 deg, intensity 14, (7 3 0)

The following is a computed X-ray diffraction stick pattern of Na4Mn3CrTe8. It was derived from a cell relaxed with GGA-PBE, using Cu Kα, 1.54184 Å.
Neutral-atom scattering factors, no anomalous dispersion.

```
data_Na4Mn3CrTe8
_space_group_name_H-M_alt 'R -3 m'
_space_group_IT_number 166
_space_group_name_Hall '-R 3 2"'
_cell_length_a 8.1425
_cell_length_b 8.1425
_cell_length_c 22.5836
_cell_angle_alpha 90.00
_cell_angle_beta 90.00
_cell_angle_gamma 120.00
loop_
_atom_site_label
_atom_site_fract_x
_atom_site_fract_y
_atom_site_fract_z
Na1 0.0000 0.0000 0.0000
Na2 0.0000 0.5000 0.0000
Mn1 0.0000 0.5000 0.5000
Cr1 0.0000 0.0000 0.5000
Te1 0.0000 0.0000 0.2346
Te2 0.0049 0.5025 0.2338
```

Top 8 peaks for 2θ = 15–90°, in order of rising 2θ:
- 26.48 deg, intensity 37, (2 0 2)
- 29.88 deg, intensity 100, (0 2 4)
- 37.80 deg, intensity 20, (0 2 7)
- 40.95 deg, intensity 28, (2 0 8)
- 44.51 deg, intensity 37, (2 2 0)
- 51.51 deg, intensity 14, (2 0 11)
- 54.53 deg, intensity 18, (4 0 4)
- 72.94 deg, intensity 14, (2 4 4)

The following is a computed X-ray diffraction stick pattern of Er2Tm3Al2. It was derived from a cell relaxed with GGA-PBE, using Cu Kα, 1.54184 Å.
Neutral-atom scattering factors, no anomalous dispersion.

```
data_Er2Tm3Al2
_space_group_name_H-M_alt 'P 1 2/m 1'
_space_group_IT_number 10
_space_group_name_Hall '-P 2y'
_cell_length_a 4.5774
_cell_length_b 3.3118
_cell_length_c 12.1109
_cell_angle_alpha 90.00
_cell_angle_beta 100.89
_cell_angle_gamma 90.00
loop_
_atom_site_label
_atom_site_fract_x
_atom_site_fract_y
_atom_site_fract_z
Er1 0.2078 0.0000 0.4167
Tm1 0.3679 0.5000 0.7322
Tm2 0.5000 0.5000 0.0000
Al1 0.0669 0.0000 0.1348
```

Top 8 peaks for 2θ = 15–90°, in order of rising 2θ:
- 19.75 deg, intensity 31, (1 0 0)
- 27.97 deg, intensity 30, (0 1 1)
- 32.83 deg, intensity 100, (1 0 -4)
- 33.61 deg, intensity 72, (1 1 0)
- 35.31 deg, intensity 36, (1 1 -2)
- 39.37 deg, intensity 34, (2 0 -1)
- 40.79 deg, intensity 36, (0 1 4)
- 68.78 deg, intensity 35, (1 1 7)

The following is a computed X-ray diffraction stick pattern of Pr2NbAgO6. It was derived from a cell relaxed with GGA-PBE, using Cu Kα, 1.54184 Å.
Neutral-atom scattering factors, no anomalous dispersion.

```
data_Pr2NbAgO6
_space_group_name_H-M_alt 'P 4 m m'
_space_group_IT_number 99
_space_group_name_Hall 'P 4 -2'
_cell_length_a 5.4074
_cell_length_b 5.4074
_cell_length_c 5.4737
_cell_angle_alpha 90.00
_cell_angle_beta 90.00
_cell_angle_gamma 90.00
loop_
_atom_site_label
_atom_site_fract_x
_atom_site_fract_y
_atom_site_fract_z
Pr1 0.0000 0.5000 0.0000
Nb1 0.0000 0.0000 0.6003
Ag1 0.5000 0.5000 0.4955
O1 0.0000 0.0000 0.2444
O2 0.2339 0.2339 0.7447
O3 0.5000 0.5000 0.1107
```

Top 8 peaks for 2θ = 15–90°, in order of rising 2θ:
- 16.19 deg, intensity 9, (0 0 1)
- 28.48 deg, intensity 100, (1 1 1)
- 32.72 deg, intensity 11, (0 0 2)
- 33.13 deg, intensity 33, (2 0 0)
- 47.26 deg, intensity 27, (2 0 2)
- 47.56 deg, intensity 19, (2 2 0)
- 55.83 deg, intensity 10, (1 1 3)
- 56.37 deg, intensity 29, (3 1 1)

The following is a computed X-ray diffraction stick pattern of Sr2MgAgO4. It was derived from a cell relaxed with GGA-PBE, using Cu Kα, 1.54184 Å.
Neutral-atom scattering factors, no anomalous dispersion.

```
data_Sr2MgAgO4
_space_group_name_H-M_alt 'I -4'
_space_group_IT_number 82
_space_group_name_Hall 'I -4'
_cell_length_a 5.9986
_cell_length_b 5.9986
_cell_length_c 6.9709
_cell_angle_alpha 90.00
_cell_angle_beta 90.00
_cell_angle_gamma 90.00
loop_
_atom_site_label
_atom_site_fract_x
_atom_site_fract_y
_atom_site_fract_z
Sr1 0.0000 0.0000 0.0000
Sr2 0.0000 0.5000 0.2500
Mg1 0.0000 0.0000 0.5000
Ag1 0.0000 0.5000 0.7500
O1 0.1976 0.7783 0.6353
```

Top 8 peaks for 2θ = 15–90°, in order of rising 2θ:
- 19.52 deg, intensity 12, (1 0 1)
- 20.94 deg, intensity 11, (1 1 0)
- 29.79 deg, intensity 42, (2 0 0)
- 33.27 deg, intensity 100, (1 1 2)
- 42.63 deg, intensity 31, (2 2 0)
- 55.12 deg, intensity 45, (1 3 2)
- 61.54 deg, intensity 20, (2 0 4)
- 87.52 deg, intensity 12, (5 1 2)